1.
The following is a calculated X-ray diffraction stick pattern of Li3IrRh. It was derived from a DFT-relaxed cell (PBE, Alexandria), using Cu Kα X-rays.
Intensities are scaled so that the largest is 100.

Main lines, low angle first (2θ from 10° to 90°):
2theta, I/Imax
20.65, 100.0
34.89, 29.2
38.48, 90.5
40.88, 39.3
42.01, 19.5
49.13, 46.3
64.97, 24.0
66.58, 17.7

Cell and atoms:
Cell lengths 2.759, 5.144, 8.604 Å; angles 90.00, 90.00, 90.00 degrees
Space group Amm2 (No. 38)
Symmetry-distinct sites (fractional):
Li: 0.000 0.000 0.000
Li: 0.500 0.196 0.527
Ir: 0.000 0.000 0.281
Rh: 0.500 0.000 0.778

***

2.
The following is a calculated X-ray diffraction stick pattern of PmH5Pt. It was derived from a DFT-relaxed cell (PBE, Alexandria), using Cu Kα X-rays.
Intensities are scaled so that the largest is 100.

Main lines, low angle first (2θ from 10° to 90°):
2theta, I/Imax
26.95, 100.0
27.80, 48.4
38.40, 20.7
38.57, 19.4
39.11, 75.9
48.07, 21.5
48.21, 21.1
63.25, 18.5

Cell and atoms:
Cell lengths 4.689, 6.417, 4.668 Å; angles 90.00, 90.00, 90.00 degrees
Space group Imm2 (No. 44)
Symmetry-distinct sites (fractional):
Pm: 0.000 0.000 0.000
H: 0.000 0.318 0.295
H: 0.000 0.500 0.674
H: 0.150 0.000 0.508
Pt: 0.000 0.500 0.028

***

Q: Which formula does entry 1 have?
A: Li3IrRh